1.
# SbTeClO3
Simulated powder X-ray diffraction pattern, Cu Ka. Input: a GGA-PBE-relaxed structure.

Largest 10 diffraction maxima, by angle, 15° ≤ 2θ ≤ 90°:
hkl 2 0 1, 2θ = 19.5°, rel. 65.5
hkl 1 1 1, 2θ = 21.6°, rel. 34.1
hkl 2 1 1, 2θ = 25.4°, rel. 41.0
hkl 1 0 2, 2θ = 25.6°, rel. 32.2
hkl 1 1 2, 2θ = 30.4°, rel. 33.0
hkl 3 1 1, 2θ = 30.7°, rel. 100.0
hkl 0 2 0, 2θ = 32.5°, rel. 40.7
hkl 2 2 1, 2θ = 38.2°, rel. 21.1
hkl 0 1 3, 2θ = 40.6°, rel. 23.6
hkl 3 1 3, 2θ = 47.1°, rel. 25.0

Structural model:
Cell: 11.674 5.512 7.277 Å, 90.00 90.00 90.00°
Space group Pnma (No. 62)
One atom of each set of equivalent atoms:
Sb (0.243, 0.250, 0.082)
Te (0.076, 0.750, 0.180)
Cl (0.077, 0.250, 0.396)
O (0.126, 0.505, 0.008)
O (0.221, 0.750, 0.305)

***

2.
# Sb3TeClO6
Simulated powder X-ray diffraction pattern, Cu Ka. Input: a GGA-PBE-relaxed structure.

Largest 10 diffraction maxima, by angle, 15° ≤ 2θ ≤ 90°:
hkl 2 0 -2, 2θ = 18.4°, rel. 55.4
hkl 0 0 2, 2θ = 22.0°, rel. 21.8
hkl 1 1 0, 2θ = 22.5°, rel. 30.4
hkl 1 1 -1, 2θ = 23.4°, rel. 20.2
hkl 3 1 0, 2θ = 29.6°, rel. 100.0
hkl 0 0 3, 2θ = 33.3°, rel. 33.1
hkl 3 1 -3, 2θ = 35.4°, rel. 40.2
hkl 6 0 -3, 2θ = 35.9°, rel. 35.4
hkl 0 2 0, 2θ = 43.7°, rel. 29.1
hkl 8 0 -5, 2θ = 53.3°, rel. 26.4

Structural model:
Cell: 15.791 4.146 9.659 Å, 90.00 123.24 90.00°
Space group Cm (No. 8)
One atom of each set of equivalent atoms:
Sb (0.000, 0.000, 0.000)
Sb (0.002, 0.000, 0.369)
Sb (0.184, 0.500, 0.658)
Te (0.180, 0.500, 0.022)
Cl (0.339, 0.000, 0.015)
O (0.049, 0.500, 0.438)
O (0.051, 0.500, 0.005)
O (0.066, 0.000, 0.241)
O (0.116, 0.500, 0.789)
O (0.137, 0.000, 0.594)
O (0.143, 0.000, 0.030)

***

3.
# ZnSb2Cl2O3
Simulated powder X-ray diffraction pattern, Cu Ka. Input: a GGA-PBE-relaxed structure.

Largest 10 diffraction maxima, by angle, 15° ≤ 2θ ≤ 90°:
hkl 2 0 1, 2θ = 16.9°, rel. 23.5
hkl 1 1 1, 2θ = 21.3°, rel. 14.7
hkl 2 1 1, 2θ = 23.0°, rel. 23.8
hkl 4 1 1, 2θ = 29.1°, rel. 100.0
hkl 0 2 0, 2θ = 31.5°, rel. 32.7
hkl 1 1 2, 2θ = 31.9°, rel. 13.9
hkl 2 1 2, 2θ = 33.1°, rel. 9.9
hkl 4 1 2, 2θ = 37.7°, rel. 11.2
hkl 6 2 0, 2θ = 44.5°, rel. 10.0
hkl 4 3 1, 2θ = 54.6°, rel. 18.4

Structural model:
Cell: 17.553 5.681 6.570 Å, 90.00 90.00 90.00°
Space group Pnma (No. 62)
One atom of each set of equivalent atoms:
Zn (0.090, 0.250, 0.016)
Sb (0.118, 0.750, 0.677)
Sb (0.241, 0.250, 0.752)
Cl (0.027, 0.750, 0.128)
Cl (0.123, 0.250, 0.347)
O (0.159, 0.018, 0.849)
O (0.217, 0.750, 0.531)